[1]
Rb3Ho2ErSe6: computed XRD peak list (Cu Ka), based on the PBE geometry in Alexandria.
Peak positions follow from Bragg's law for the DFT cell and can differ from measured ones.

Principal peaks in the range 2θ from 10° to 80°, in order of rising 2θ:
- 11.1 deg, 7.989 Å, I = 32.8
- 28.6 deg, 3.120 Å, I = 100.0
- 35.9 deg, 2.499 Å, I = 13.1
- 38.9 deg, 2.317 Å, I = 33.8
- 42.9 deg, 2.110 Å, I = 35.9
- 69.9 deg, 1.346 Å, I = 15.4

Atomic structure:
Unit cell a=7.3085 b=7.3085 c=8.3524 alpha=98.39 beta=98.39 gamma=120.00
Positions (direct):
Rb 0.0000 0.0000 0.0000
Rb 0.3330 0.6670 0.0000
Rb 0.6670 0.3330 0.0000
Ho 0.1666 0.8334 0.5000
Ho 0.8334 0.1666 0.5000
Er 0.5000 0.5000 0.5000
Se 0.1028 0.4352 0.3056
Se 0.2325 0.2325 0.6946
Se 0.4352 0.1028 0.3056
Se 0.5648 0.8972 0.6944
Se 0.7675 0.7675 0.3054
Se 0.8972 0.5648 0.6944

[2]
NaCa2Ge3Pt4: computed XRD peak list (Cu Ka), based on the PBE geometry in Alexandria.
Peak positions follow from Bragg's law for the DFT cell and can differ from measured ones.

Principal peaks in the range 2θ from 10° to 80°, in order of rising 2θ:
- 22.6 deg, 3.941 Å, I = 66.5
- 24.2 deg, 3.676 Å, I = 33.6
- 31.1 deg, 2.880 Å, I = 42.2
- 34.2 deg, 2.624 Å, I = 100.0
- 42.9 deg, 2.110 Å, I = 67.0
- 44.8 deg, 2.025 Å, I = 72.5

Atomic structure:
Unit cell a=4.2194 b=4.2194 c=11.0284 alpha=90.00 beta=90.00 gamma=90.00
Positions (direct):
Na 0.0000 0.0000 0.0000
Ca 0.0000 0.5000 0.7443
Ca 0.5000 0.0000 0.2557
Ge 0.0000 0.5000 0.3709
Ge 0.5000 0.0000 0.6291
Ge 0.5000 0.5000 0.0000
Pt 0.0000 0.0000 0.5000
Pt 0.0000 0.5000 0.1504
Pt 0.5000 0.0000 0.8496
Pt 0.5000 0.5000 0.5000

[3]
K2Si3SnO9: computed XRD peak list (Cu Ka), based on the PBE geometry in Alexandria.
Peak positions follow from Bragg's law for the DFT cell and can differ from measured ones.

Principal peaks in the range 2θ from 10° to 80°, in order of rising 2θ:
- 14.7 deg, 6.034 Å, I = 59.5
- 22.9 deg, 3.889 Å, I = 60.4
- 25.6 deg, 3.484 Å, I = 31.7
- 30.2 deg, 2.956 Å, I = 27.1
- 31.1 deg, 2.874 Å, I = 100.0
- 54.0 deg, 1.698 Å, I = 27.6

Atomic structure:
Unit cell a=6.9678 b=6.9678 c=10.1707 alpha=90.00 beta=90.00 gamma=120.00
Positions (direct):
K 0.3333 0.6667 0.0570
K 0.3333 0.6667 0.4430
K 0.6667 0.3333 0.5570
K 0.6667 0.3333 0.9430
Si 0.1288 0.3828 0.7500
Si 0.2540 0.8712 0.7500
Si 0.3828 0.2540 0.2500
Si 0.6172 0.7460 0.7500
Si 0.7460 0.1288 0.2500
Si 0.8712 0.6172 0.2500
Sn 0.0000 0.0000 0.0000
Sn 0.0000 0.0000 0.5000
O 0.0189 0.2554 0.6136
O 0.0189 0.2554 0.8864
O 0.0861 0.5986 0.7500
O 0.2365 0.9811 0.6136
O 0.2365 0.9811 0.8864
O 0.2554 0.2365 0.1136
O 0.2554 0.2365 0.3864
O 0.4014 0.4875 0.7500
O 0.4875 0.0861 0.2500
O 0.5125 0.9139 0.7500
O 0.5986 0.5125 0.2500
O 0.7446 0.7635 0.6136
O 0.7446 0.7635 0.8864
O 0.7635 0.0189 0.1136
O 0.7635 0.0189 0.3864
O 0.9139 0.4014 0.2500
O 0.9811 0.7446 0.1136
O 0.9811 0.7446 0.3864